Diffraction record for CrAg3ClO4. The powder XRD pattern is simulated, not measured: it uses DFT lattice parameters and positions (GGA+U) and Cu Kα X-rays.
Lines closer than 0.1° are merged.

Top 10 peaks for 2θ from 5° to 70°, sorted by position:
- 20.4°, I 7
- 29.1°, I 100
- 33.4°, I 10
- 33.9°, I 40
- 35.5°, I 12
- 43.2°, I 8
- 48.3°, I 22
- 48.7°, I 19
- 57.8°, I 25
- 60.3°, I 8

Cell and atoms:
a b c (Å): 7.4756 7.4756 5.3707
angles (deg): 90.00 90.00 90.00
Space group P4/nmm (No. 129, origin choice 2)
Unique sites:
Cr (0.2500, 0.7500, 0.0000)
Ag (0.0000, 0.0000, 0.5000)
Ag (0.2500, 0.2500, 0.1039)
Cl (0.2500, 0.2500, 0.6276)
O (0.0688, 0.7500, 0.8137)


Diffraction record for MgCr4Pb4O16. The powder XRD pattern is simulated, not measured: it uses DFT lattice parameters and positions (GGA+U) and Cu Kα X-rays.
Lines closer than 0.1° are merged.

Top 10 peaks for 2θ from 5° to 70°, sorted by position:
- 17.1°, I 21
- 17.2°, I 22
- 24.8°, I 43
- 25.6°, I 100
- 28.5°, I 38
- 28.7°, I 36
- 31.8°, I 17
- 33.6°, I 14
- 38.4°, I 16
- 42.3°, I 16

Cell and atoms:
a b c (Å): 6.9826 7.3711 7.9433
angles (deg): 89.78 89.54 76.54
Space group P-1 (No. 2)
Unique sites:
Mg (0.0000, 0.0000, 0.0000)
Cr (0.1184, 0.6749, 0.1735)
Cr (0.3781, 0.7999, 0.6704)
Pb (0.1038, 0.2246, 0.3955)
Pb (0.4088, 0.2870, 0.8840)
O (0.0179, 0.6139, 0.3550)
O (0.0706, 0.2490, 0.9764)
O (0.1839, 0.9623, 0.5987)
O (0.1889, 0.8872, 0.1856)
O (0.2906, 0.6143, 0.7100)
O (0.3220, 0.5225, 0.0970)
O (0.4398, 0.2437, 0.4717)
O (0.4569, 0.8783, 0.8494)


Diffraction record for MgTl4Ni4O12. The powder XRD pattern is simulated, not measured: it uses DFT lattice parameters and positions (GGA+U) and Cu Kα X-rays.
Lines closer than 0.1° are merged.

Top 10 peaks for 2θ from 5° to 70°, sorted by position:
- 20.9°, I 43
- 22.4°, I 26
- 23.6°, I 62
- 28.9°, I 34
- 31.5°, I 44
- 32.0°, I 100
- 32.7°, I 97
- 33.6°, I 50
- 36.7°, I 31
- 45.7°, I 29

Cell and atoms:
a b c (Å): 5.3629 5.6318 8.5674
angles (deg): 84.17 85.69 86.53
Space group P1 (No. 1)
Unique sites:
Mg (0.0000, 0.0000, 0.0000)
Tl (0.0644, 0.8417, 0.3654)
Tl (0.0710, 0.6451, 0.7931)
Tl (0.5370, 0.2102, 0.8395)
Tl (0.6205, 0.3365, 0.3731)
Ni (0.0830, 0.2435, 0.5975)
Ni (0.1351, 0.3438, 0.1508)
Ni (0.5642, 0.7679, 0.1174)
Ni (0.5749, 0.7664, 0.5869)
O (0.2285, 0.2262, 0.3742)
O (0.2975, 0.9538, 0.6829)
O (0.3301, 0.0666, 0.0631)
O (0.3429, 0.5471, 0.0193)
O (0.3952, 0.4657, 0.6526)
O (0.4662, 0.7222, 0.3540)
O (0.7419, 0.8389, 0.9030)
O (0.7819, 0.0484, 0.5442)
O (0.8574, 0.1244, 0.1958)
O (0.8847, 0.5705, 0.5487)
O (0.9063, 0.6030, 0.1924)
O (0.9509, 0.2742, 0.8299)


Diffraction record for LiFe2P3O11. The powder XRD pattern is simulated, not measured: it uses DFT lattice parameters and positions (GGA+U) and Cu Kα X-rays.
Lines closer than 0.1° are merged.

Top 10 peaks for 2θ from 5° to 70°, sorted by position:
- 14.8°, I 78
- 17.0°, I 26
- 19.5°, I 98
- 23.3°, I 48
- 27.8°, I 46
- 29.8°, I 23
- 30.3°, I 100
- 34.1°, I 35
- 37.5°, I 27
- 57.4°, I 24

Cell and atoms:
a b c (Å): 11.5547 8.7097 8.8421
angles (deg): 90.00 115.21 90.00
Space group C2 (No. 5)
Unique sites:
Li (0.2488, 0.0000, 0.2622)
Fe (0.1224, 0.9998, 0.7971)
Fe (0.1217, 0.4702, 0.2960)
P (0.0000, 0.1920, 0.0000)
P (0.0000, 0.2772, 0.5000)
P (0.1132, 0.6717, 0.9651)
P (0.1141, 0.7991, 0.4660)
O (0.0000, 0.7246, 0.5000)
O (0.0000, 0.7473, 0.0000)
O (0.0552, 0.5645, 0.8132)
O (0.0580, 0.9054, 0.3136)
O (0.0650, 0.1799, 0.6578)
O (0.0660, 0.2885, 0.1584)
O (0.1058, 0.0837, 0.9929)
O (0.1056, 0.3858, 0.4924)
O (0.1870, 0.8053, 0.9401)
O (0.1884, 0.6626, 0.4464)
O (0.1907, 0.5773, 0.1258)
O (0.1913, 0.8935, 0.6266)